# 1
Simulated X-ray powder pattern
Compound: TbDy5Ga4
Radiation: Cu Kα, 1.54184 Å
Structure: a DFT-relaxed cell (PBE, Alexandria)

Cell and atoms:
```
TbDy5Ga4
1.0
8.602 -1.840 0.000
8.602 1.840 0.000
-0.872 0.000 8.687
Tb Dy Ga
1 5 4
Direct
0.000 0.000 0.000
0.000 0.000 0.500
0.313 0.313 0.654
0.350 0.350 0.219
0.650 0.650 0.781
0.687 0.687 0.346
0.186 0.186 0.059
0.478 0.478 0.743
0.522 0.522 0.257
0.814 0.814 0.941
```

The 10 most intense peaks (15 to 90 degrees two-theta), sorted by position:
- d 3.726, 23.9°, I 190
- d 3.213, 27.8°, I 221
- d 3.093, 28.9°, I 348
- d 2.853, 31.4°, I 348
- d 2.799, 32.0°, I 1000
- d 2.363, 38.1°, I 156
- d 2.157, 41.9°, I 160
- d 2.105, 43.0°, I 234
- d 1.906, 47.7°, I 221
- d 1.840, 49.5°, I 176


# 2
Simulated X-ray powder pattern
Compound: Dy8Ga2Tc
Radiation: Cu Kα, 1.54184 Å
Structure: a DFT-relaxed cell (PBE, Alexandria)

Cell and atoms:
```
Dy8Ga2Tc
1.0
8.754 -2.538 0.000
8.754 2.538 0.000
-1.843 0.000 6.535
Dy Ga Tc
8 2 1
Direct
0.023 0.023 0.285
0.200 0.200 0.799
0.343 0.343 0.543
0.409 0.409 0.059
0.591 0.591 0.941
0.657 0.657 0.457
0.800 0.800 0.201
0.977 0.977 0.715
0.189 0.189 0.221
0.811 0.811 0.779
0.500 0.500 0.500
```

The 10 most intense peaks (15 to 90 degrees two-theta), sorted by position:
- d 3.033, 29.5°, I 458
- d 2.879, 31.1°, I 166
- d 2.818, 31.7°, I 1000
- d 2.806, 31.9°, I 819
- d 2.726, 32.9°, I 230
- d 2.618, 34.2°, I 648
- d 2.538, 35.4°, I 726
- d 2.417, 37.2°, I 303
- d 1.513, 61.3°, I 284
- d 1.441, 64.7°, I 185


# 3
Simulated X-ray powder pattern
Compound: Dy2Ga6Tc
Radiation: Cu Kα, 1.54184 Å
Structure: a DFT-relaxed cell (PBE, Alexandria)

Cell and atoms:
```
Dy2Ga6Tc
1.0
5.804 0.000 0.000
-2.902 5.027 0.000
0.000 0.000 5.766
Dy Ga Tc
2 6 1
Direct
0.333 0.667 0.342
0.667 0.333 0.658
0.175 0.351 0.822
0.175 0.825 0.822
0.351 0.175 0.178
0.649 0.825 0.822
0.825 0.175 0.178
0.825 0.649 0.178
0.000 0.000 0.500
```

The 10 most intense peaks (15 to 90 degrees two-theta), sorted by position:
- d 2.902, 30.8°, I 216
- d 2.592, 34.6°, I 470
- d 2.513, 35.7°, I 146
- d 2.501, 35.9°, I 569
- d 2.304, 39.1°, I 1000
- d 1.894, 48.0°, I 149
- d 1.795, 50.9°, I 134
- d 1.586, 58.2°, I 211
- d 1.451, 64.2°, I 239
- d 1.351, 69.6°, I 158


# 4
Simulated X-ray powder pattern
Compound: Dy8Ga2Tc
Radiation: Cu Kα, 1.54184 Å
Structure: a DFT-relaxed cell (PBE, Alexandria)

Cell and atoms:
```
Dy8Ga2Tc
1.0
-2.453 4.124 7.104
2.453 -4.124 7.104
2.453 4.124 -7.104
Dy Ga Tc
8 2 1
Direct
0.117 0.344 0.773
0.125 0.125 0.000
0.323 0.000 0.323
0.429 0.656 0.773
0.571 0.344 0.227
0.677 0.000 0.677
0.875 0.875 0.000
0.883 0.656 0.227
0.308 0.808 0.500
0.692 0.192 0.500
0.000 0.500 0.500
```

The 10 most intense peaks (15 to 90 degrees two-theta), sorted by position:
- d 3.407, 26.2°, I 151
- d 3.082, 29.0°, I 103
- d 2.717, 33.0°, I 290
- d 2.699, 33.2°, I 187
- d 2.627, 34.1°, I 1000
- d 2.453, 36.6°, I 307
- d 2.368, 38.0°, I 141
- d 1.815, 50.3°, I 117
- d 1.704, 53.8°, I 103
- d 1.447, 64.4°, I 159


# 5
Simulated X-ray powder pattern
Compound: Dy5GaTe4
Radiation: Cu Kα, 1.54184 Å
Structure: a DFT-relaxed cell (PBE, Alexandria)

Cell and atoms:
```
Dy5GaTe4
1.0
-4.855 4.855 3.055
4.855 -4.855 3.055
4.855 4.855 -3.055
Dy Ga Te
5 1 4
Direct
0.000 0.000 0.000
0.223 0.596 0.819
0.404 0.223 0.626
0.596 0.777 0.374
0.777 0.404 0.181
0.500 0.500 0.000
0.092 0.305 0.397
0.305 0.908 0.213
0.695 0.092 0.787
0.908 0.695 0.603
```

The 10 most intense peaks (15 to 90 degrees two-theta), sorted by position:
- d 3.071, 29.1°, I 1000
- d 3.055, 29.2°, I 510
- d 2.171, 41.6°, I 353
- d 2.166, 41.7°, I 754
- d 1.770, 51.6°, I 376
- d 1.535, 60.3°, I 106
- d 1.372, 68.3°, I 282
- d 1.368, 68.6°, I 171
- d 1.252, 76.0°, I 203
- d 1.249, 76.2°, I 118


# 6
Simulated X-ray powder pattern
Compound: Dy3GaTe4
Radiation: Cu Kα, 1.54184 Å
Structure: a DFT-relaxed cell (PBE, Alexandria)

Cell and atoms:
```
Dy3GaTe4
1.0
6.147 0.000 0.000
0.000 9.790 0.000
0.000 0.000 9.210
Dy Ga Te
6 2 8
Direct
0.250 0.047 0.156
0.250 0.250 0.757
0.250 0.453 0.156
0.750 0.547 0.844
0.750 0.750 0.243
0.750 0.953 0.844
0.250 0.750 0.591
0.750 0.250 0.409
0.250 0.250 0.414
0.250 0.549 0.840
0.250 0.750 0.253
0.250 0.951 0.840
0.750 0.049 0.160
0.750 0.250 0.747
0.750 0.451 0.160
0.750 0.750 0.586
```

The 10 most intense peaks (15 to 90 degrees two-theta), sorted by position:
- d 4.605, 19.3°, I 238
- d 4.323, 20.5°, I 413
- d 3.074, 29.1°, I 1000
- d 2.929, 30.5°, I 225
- d 2.663, 33.7°, I 239
- d 2.505, 35.8°, I 200
- d 2.174, 41.5°, I 346
- d 2.121, 42.6°, I 180
- d 2.012, 45.0°, I 211
- d 1.322, 71.3°, I 156


# 7
Simulated X-ray powder pattern
Compound: Dy2ThGa
Radiation: Cu Kα, 1.54184 Å
Structure: a DFT-relaxed cell (PBE, Alexandria)

Cell and atoms:
```
Dy2ThGa
1.0
3.530 0.000 0.000
0.000 3.530 0.000
0.000 0.000 8.716
Dy Th Ga
2 1 1
Direct
0.000 0.000 0.214
0.000 0.000 0.786
0.500 0.500 0.500
0.500 0.500 0.000
```

The 10 most intense peaks (15 to 90 degrees two-theta), sorted by position:
- d 3.272, 27.3°, I 226
- d 2.905, 30.8°, I 105
- d 2.743, 32.6°, I 1000
- d 2.496, 36.0°, I 430
- d 2.179, 41.4°, I 93
- d 1.893, 48.1°, I 125
- d 1.765, 51.8°, I 153
- d 1.642, 56.0°, I 156
- d 1.563, 59.1°, I 107
- d 1.484, 62.6°, I 313


# 8
Simulated X-ray powder pattern
Compound: Dy4Tl3Ga
Radiation: Cu Kα, 1.54184 Å
Structure: a DFT-relaxed cell (PBE, Alexandria)

Cell and atoms:
```
Dy4Tl3Ga
1.0
4.295 0.000 0.000
0.000 4.516 0.000
0.000 0.000 11.384
Dy Tl Ga
4 3 1
Direct
0.000 0.000 0.000
0.000 0.500 0.481
0.500 0.000 0.716
0.500 0.500 0.220
0.000 0.500 0.757
0.500 0.000 0.436
0.500 0.500 0.946
0.000 0.000 0.266
```

The 10 most intense peaks (15 to 90 degrees two-theta), sorted by position:
- d 3.002, 29.8°, I 1000
- d 2.846, 31.4°, I 342
- d 2.406, 37.4°, I 778
- d 2.372, 37.9°, I 173
- d 2.258, 39.9°, I 271
- d 2.147, 42.1°, I 234
- d 1.769, 51.7°, I 172
- d 1.714, 53.5°, I 147
- d 1.556, 59.4°, I 171
- d 1.365, 68.8°, I 140


# 9
Simulated X-ray powder pattern
Compound: Dy5Tl2Ga
Radiation: Cu Kα, 1.54184 Å
Structure: a DFT-relaxed cell (PBE, Alexandria)

Cell and atoms:
```
Dy5Tl2Ga
1.0
-3.990 3.990 7.079
3.990 -3.990 7.079
3.990 3.990 -7.079
Dy Tl Ga
10 4 2
Direct
0.000 0.000 0.000
0.008 0.508 0.826
0.182 0.008 0.500
0.318 0.818 0.826
0.492 0.318 0.500
0.500 0.500 0.000
0.508 0.682 0.500
0.682 0.182 0.174
0.818 0.992 0.500
0.992 0.492 0.174
0.134 0.366 0.500
0.366 0.866 0.232
0.634 0.134 0.768
0.866 0.634 0.500
0.250 0.250 0.000
0.750 0.750 0.000
```

The 10 most intense peaks (15 to 90 degrees two-theta), sorted by position:
- d 2.847, 31.4°, I 1000
- d 2.648, 33.9°, I 113
- d 2.524, 35.6°, I 373
- d 2.360, 38.1°, I 142
- d 1.881, 48.4°, I 58
- d 1.791, 51.0°, I 112
- d 1.724, 53.1°, I 143
- d 1.471, 63.2°, I 66
- d 1.439, 64.8°, I 99
- d 1.414, 66.1°, I 150


# 10
Simulated X-ray powder pattern
Compound: Dy8Tl2Ga
Radiation: Cu Kα, 1.54184 Å
Structure: a DFT-relaxed cell (PBE, Alexandria)

Cell and atoms:
```
Dy8Tl2Ga
1.0
9.401 -2.573 0.000
9.401 2.573 0.000
-1.549 0.000 6.577
Dy Tl Ga
8 2 1
Direct
0.017 0.017 0.270
0.205 0.205 0.812
0.347 0.347 0.518
0.410 0.410 0.041
0.590 0.590 0.959
0.653 0.653 0.482
0.795 0.795 0.188
0.983 0.983 0.730
0.184 0.184 0.252
0.816 0.816 0.748
0.500 0.500 0.500
```

The 10 most intense peaks (15 to 90 degrees two-theta), sorted by position:
- d 3.175, 28.1°, I 290
- d 3.049, 29.3°, I 292
- d 2.983, 30.0°, I 1000
- d 2.822, 31.7°, I 824
- d 2.729, 32.8°, I 407
- d 2.665, 33.6°, I 494
- d 2.573, 34.9°, I 796
- d 2.550, 35.2°, I 298
- d 2.449, 36.7°, I 270
- d 2.354, 38.2°, I 313


# 11
Simulated X-ray powder pattern
Compound: Dy5Tl2Ga
Radiation: Cu Kα, 1.54184 Å
Structure: a DFT-relaxed cell (PBE, Alexandria)

Cell and atoms:
```
Dy5Tl2Ga
1.0
6.857 0.000 0.000
0.000 12.812 0.000
0.000 0.000 5.023
Dy Tl Ga
10 4 2
Direct
0.000 0.000 0.000
0.137 0.280 0.000
0.166 0.593 0.500
0.334 0.093 0.500
0.363 0.780 0.000
0.500 0.500 0.000
0.637 0.220 0.000
0.666 0.907 0.500
0.834 0.407 0.500
0.863 0.720 0.000
0.112 0.844 0.500
0.388 0.344 0.500
0.612 0.656 0.500
0.888 0.156 0.500
0.000 0.500 0.000
0.500 0.000 0.000
```

The 10 most intense peaks (15 to 90 degrees two-theta), sorted by position:
- d 2.939, 30.4°, I 405
- d 2.902, 30.8°, I 269
- d 2.765, 32.4°, I 1000
- d 2.701, 33.2°, I 714
- d 2.673, 33.5°, I 280
- d 2.590, 34.6°, I 176
- d 2.511, 35.8°, I 553
- d 1.899, 47.9°, I 171
- d 1.830, 49.8°, I 185
- d 1.494, 62.1°, I 189


# 12
Simulated X-ray powder pattern
Compound: DyTm4Ga15
Radiation: Cu Kα, 1.54184 Å
Structure: a DFT-relaxed cell (PBE, Alexandria)

Cell and atoms:
```
DyTm4Ga15
1.0
4.250 0.000 0.000
0.000 4.250 0.000
0.000 0.000 21.158
Dy Tm Ga
1 4 15
Direct
0.000 0.000 0.000
0.000 0.000 0.201
0.000 0.000 0.400
0.000 0.000 0.600
0.000 0.000 0.799
0.000 0.500 0.101
0.000 0.500 0.300
0.000 0.500 0.500
0.000 0.500 0.700
0.000 0.500 0.899
0.500 0.000 0.101
0.500 0.000 0.300
0.500 0.000 0.500
0.500 0.000 0.700
0.500 0.000 0.899
0.500 0.500 0.000
0.500 0.500 0.200
0.500 0.500 0.400
0.500 0.500 0.600
0.500 0.500 0.800
```

The 10 most intense peaks (15 to 90 degrees two-theta), sorted by position:
- d 4.244, 20.9°, I 176
- d 3.001, 29.8°, I 148
- d 2.450, 36.7°, I 1000
- d 2.125, 42.5°, I 330
- d 2.116, 42.7°, I 162
- d 1.503, 61.7°, I 107
- d 1.499, 61.9°, I 213
- d 1.281, 74.0°, I 249
- d 1.277, 74.3°, I 123
- d 1.225, 78.0°, I 108


# 13
Simulated X-ray powder pattern
Compound: DyTm2Ga3
Radiation: Cu Kα, 1.54184 Å
Structure: a DFT-relaxed cell (PBE, Alexandria)

Cell and atoms:
```
DyTm2Ga3
1.0
5.003 0.000 0.000
-2.502 4.333 0.000
0.000 0.000 12.275
Dy Tm Ga
2 4 6
Direct
0.333 0.667 0.167
0.667 0.333 0.833
0.000 0.000 0.000
0.000 0.000 0.500
0.333 0.667 0.665
0.667 0.333 0.335
0.000 0.000 0.251
0.000 0.000 0.749
0.333 0.667 0.418
0.333 0.667 0.916
0.667 0.333 0.084
0.667 0.333 0.582
```

The 10 most intense peaks (15 to 90 degrees two-theta), sorted by position:
- d 3.540, 25.2°, I 182
- d 2.503, 35.9°, I 1000
- d 2.044, 44.3°, I 55
- d 1.770, 51.6°, I 176
- d 1.583, 58.3°, I 76
- d 1.445, 64.5°, I 269
- d 1.444, 64.5°, I 90
- d 1.251, 76.1°, I 111
- d 1.180, 81.6°, I 23
- d 1.119, 87.1°, I 160